No. 1
Starting from DFT lattice parameters and positions (PBE), the powder XRD pattern of PdRhS3 was calculated for Cu Ka.

Cell and atoms:
a b c (Å): 6.475 6.475 8.950
angles (deg): 90.00 90.00 120.00
Fractional coordinates of all 15 atoms:
Pd  0.000  0.000  0.000
Pd  0.333  0.667  0.667
Pd  0.667  0.333  0.333
Rh  0.000  0.000  0.610
Rh  0.333  0.667  0.277
Rh  0.667  0.333  0.944
S  0.177  0.355  0.496
S  0.177  0.823  0.496
S  0.312  0.156  0.830
S  0.511  0.021  0.163
S  0.511  0.489  0.163
S  0.645  0.823  0.496
S  0.844  0.156  0.830
S  0.844  0.688  0.830
S  0.979  0.489  0.163

Principal peaks in the range 2θ from 10° to 90°, sorted by position:
h k l, 2theta, d (Å), I (rel.)
1 0 1, 18.7, 4.752, 87
0 1 2, 25.5, 3.498, 86
1 1 0, 27.6, 3.238, 100
2 0 2, 37.9, 2.376, 55
1 1 3, 41.1, 2.194, 92
1 2 2, 47.5, 1.915, 42
3 0 0, 48.7, 1.869, 21
0 1 5, 53.8, 1.705, 21
2 2 0, 56.9, 1.619, 35
0 3 3, 58.2, 1.584, 33
2 0 5, 61.5, 1.509, 19
4 1 3, 85.8, 1.132, 21



No. 2
Starting from DFT lattice parameters and positions (PBE), the powder XRD pattern of RbY was calculated for Cu Ka.

Cell and atoms:
a b c (Å): 18.282 3.712 10.039
angles (deg): 90.00 90.00 90.00
Fractional coordinates of all 12 atoms:
Rb  0.000  0.240  0.000
Rb  0.211  0.754  0.698
Rb  0.289  0.246  0.198
Rb  0.500  0.760  0.500
Rb  0.711  0.246  0.198
Rb  0.789  0.754  0.698
Y  0.000  0.243  0.585
Y  0.089  0.742  0.355
Y  0.411  0.258  0.855
Y  0.500  0.757  0.085
Y  0.589  0.258  0.855
Y  0.911  0.742  0.355

Principal peaks in the range 2θ from 10° to 90°, sorted by position:
h k l, 2theta, d (Å), I (rel.)
1 0 1, 10.1, 8.800, 88
2 0 2, 20.2, 4.400, 99
5 0 1, 25.9, 3.436, 100
4 0 2, 26.4, 3.380, 55
1 0 3, 27.1, 3.292, 55
2 1 1, 27.4, 3.253, 97
3 1 0, 28.2, 3.170, 67
1 1 2, 30.3, 2.945, 94
6 0 2, 34.4, 2.605, 52
0 1 3, 36.1, 2.485, 41
5 1 2, 39.0, 2.312, 46
7 1 0, 42.3, 2.136, 52